The following is a simulated XRD peak list of Cs2KAlF6. It was derived from the PBE geometry in the Materials Project, using Cu Kα, 1.54184 Å.
Neutral-atom scattering factors, no anomalous dispersion.

Cell and atoms:
```
data_Cs2KAlF6
_symmetry_space_group_name_H-M 'F m -3 m'
_symmetry_Int_Tables_number 225
_symmetry_space_group_name_Hall '-F 4 2 3'
_cell_length_a 9.0432
_cell_length_b 9.0432
_cell_length_c 9.0432
_cell_angle_alpha 90.00
_cell_angle_beta 90.00
_cell_angle_gamma 90.00
loop_
_atom_site_label
_atom_site_fract_x
_atom_site_fract_y
_atom_site_fract_z
Cs1 0.2500 0.2500 0.2500
K1 0.0000 0.0000 0.0000
Al1 0.0000 0.0000 0.5000
F1 0.0000 0.0000 0.2950
```

Principal peaks in the range 10 to 90 degrees two-theta, sorted by position:
2theta, I_rel, h k l
19.63, 26, 2 0 0
27.91, 100, 2 2 0
34.35, 36, 2 2 2
39.87, 37, 4 0 0
44.82, 18, 4 2 0
49.37, 35, 4 2 2
57.66, 21, 4 4 0
65.25, 21, 6 2 0
68.87, 10, 6 2 2
79.28, 22, 6 4 2

***

The following is a simulated XRD peak list of NbCo3. It was derived from the PBE geometry in the Materials Project, using Cu Kα, 1.54184 Å.
Neutral-atom scattering factors, no anomalous dispersion.

Cell and atoms:
```
data_NbCo3
_symmetry_space_group_name_H-M 'P 63 m c'
_symmetry_Int_Tables_number 186
_symmetry_space_group_name_Hall 'P 6c -2c'
_cell_length_a 4.7196
_cell_length_b 4.7196
_cell_length_c 15.4717
_cell_angle_alpha 90.00
_cell_angle_beta 90.00
_cell_angle_gamma 120.00
loop_
_atom_site_label
_atom_site_fract_x
_atom_site_fract_y
_atom_site_fract_z
Nb1 0.0000 0.0000 0.0000
Nb2 0.0000 0.0000 0.1900
Nb3 0.3333 0.6667 0.2693
Co1 0.0005 0.5003 0.5988
Co2 0.1648 0.3295 0.8505
Co3 0.3333 0.6667 0.4484
Co4 0.3333 0.6667 0.7239
Co5 0.3333 0.6667 0.9725
```

Principal peaks in the range 10 to 90 degrees two-theta, sorted by position:
2theta, I_rel, h k l
38.14, 43, 1 1 0
41.40, 66, 1 0 6
45.00, 100, 1 1 4
45.93, 61, 2 0 2
46.72, 19, 1 0 7
47.88, 19, 2 0 3
71.14, 23, 2 1 6
73.73, 21, 3 0 4
77.36, 20, 2 0 10
81.59, 24, 2 2 0

***

The following is a simulated XRD peak list of Mo2Ir2C. It was derived from the PBE geometry in the Materials Project, using Cu Kα, 1.54184 Å.
Neutral-atom scattering factors, no anomalous dispersion.

Cell and atoms:
```
data_Mo2Ir2C
_symmetry_space_group_name_H-M 'R -3 m'
_symmetry_Int_Tables_number 166
_symmetry_space_group_name_Hall '-R 3 2"'
_cell_length_a 2.8463
_cell_length_b 2.8463
_cell_length_c 29.0009
_cell_angle_alpha 90.00
_cell_angle_beta 90.00
_cell_angle_gamma 120.00
loop_
_atom_site_label
_atom_site_fract_x
_atom_site_fract_y
_atom_site_fract_z
Mo1 0.0000 0.0000 0.1243
Ir1 0.0000 0.0000 0.3804
C1 0.0000 0.0000 0.0000
```

Principal peaks in the range 10 to 90 degrees two-theta, sorted by position:
2theta, I_rel, h k l
37.20, 33, 0 0 12
38.58, 100, 1 0 4
39.73, 9, 0 1 5
44.44, 69, 0 1 8
63.73, 20, 1 0 16
65.60, 23, 1 1 0
76.17, 10, 0 1 20
77.90, 24, 1 1 12
78.76, 13, 0 2 4
82.70, 12, 2 0 8

***

The following is a simulated XRD peak list of InGeN2. It was derived from the PBE geometry in the Materials Project, using Cu Kα, 1.54184 Å.
Neutral-atom scattering factors, no anomalous dispersion.

Cell and atoms:
```
data_InGeN2
_symmetry_space_group_name_H-M 'P n a 21'
_symmetry_Int_Tables_number 33
_cell_length_a 5.7478
_cell_length_b 7.3231
_cell_length_c 5.5224
_cell_angle_alpha 90.00
_cell_angle_beta 90.00
_cell_angle_gamma 90.00
loop_
_symmetry_equiv_pos_as_xyz
'x,y,z'
'-x,-y,z+1/2'
'-x+1/2,y+1/2,z+1/2'
'x+1/2,-y+1/2,z'
loop_
_atom_site_label
_atom_site_fract_x
_atom_site_fract_y
_atom_site_fract_z
In1 0.0749 0.1238 0.0000
Ge1 0.0602 0.6259 0.0067
N1 0.0507 0.5893 0.3510
N2 0.1251 0.1681 0.4130
```

Principal peaks in the range 10 to 90 degrees two-theta, sorted by position:
2theta, I_rel, h k l
28.91, 24, 1 2 0
31.12, 21, 2 0 0
32.42, 39, 0 0 2
33.24, 100, 1 2 1
35.20, 28, 2 0 1
43.99, 12, 1 2 2
49.81, 13, 0 4 0
54.02, 19, 3 2 0
58.36, 25, 1 2 3
64.43, 18, 3 2 2

***

The following is a simulated XRD peak list of NaSn3. It was derived from the PBE geometry in the Materials Project, using Cu Kα, 1.54184 Å.
Neutral-atom scattering factors, no anomalous dispersion.

Cell and atoms:
```
data_NaSn3
_symmetry_space_group_name_H-M 'P 63/m m c'
_symmetry_Int_Tables_number 194
_symmetry_space_group_name_Hall '-P 6c 2c'
_cell_length_a 6.9308
_cell_length_b 6.9308
_cell_length_c 5.2757
_cell_angle_alpha 90.00
_cell_angle_beta 90.00
_cell_angle_gamma 120.00
loop_
_atom_site_label
_atom_site_fract_x
_atom_site_fract_y
_atom_site_fract_z
Na1 0.3333 0.6667 0.2500
Sn1 0.1600 0.3200 0.7500
```

Principal peaks in the range 10 to 90 degrees two-theta, sorted by position:
2theta, I_rel, h k l
14.76, 15, 1 0 0
29.77, 24, 2 0 0
33.99, 23, 0 0 2
34.38, 100, 2 0 1
45.80, 15, 2 0 2
52.84, 19, 2 2 0
61.07, 20, 2 0 3
64.33, 22, 2 2 2
64.57, 16, 4 0 1
88.08, 14, 4 2 1

***

The following is a simulated XRD peak list of CeCuNi. It was derived from the PBE geometry in the Materials Project, using Cu Kα, 1.54184 Å.
Neutral-atom scattering factors, no anomalous dispersion.

Cell and atoms:
```
data_CeCuNi
_symmetry_space_group_name_H-M 'C 1 2/m 1'
_symmetry_Int_Tables_number 12
_cell_length_a 9.2056
_cell_length_b 4.1288
_cell_length_c 6.6884
_cell_angle_alpha 90.00
_cell_angle_beta 124.87
_cell_angle_gamma 90.00
loop_
_symmetry_equiv_pos_as_xyz
'x,y,z'
'-x,-y,-z'
'-x,y,-z'
'x,-y,z'
'x+1/2,y+1/2,z'
'-x+1/2,-y+1/2,-z'
'-x+1/2,y+1/2,-z'
'x+1/2,-y+1/2,z'
loop_
_atom_site_label
_atom_site_fract_x
_atom_site_fract_y
_atom_site_fract_z
Ce1 0.0565 0.0000 0.3012
Cu1 0.1712 0.5000 0.0785
Ni1 0.1563 0.5000 0.6854
```

Principal peaks in the range 10 to 90 degrees two-theta, sorted by position:
2theta, I_rel, h k l
24.57, 20, 1 1 0
32.63, 18, 0 0 2
33.16, 38, 1 1 1
35.20, 100, 1 1 -2
36.71, 39, 3 1 -1
38.59, 31, 3 1 -2
39.55, 22, 4 0 -2
42.03, 52, 3 1 0
43.86, 43, 0 2 0
75.95, 23, 7 1 -3